Li3NiB5O10: theoretical X-ray powder pattern (Cu Ka), based on a crystal structure in Alexandria, relaxed with PBE+U.

Largest 12 diffraction maxima, by intensity, 15 to 90 degrees two-theta:
| 2θ/deg | Rel. int. | (hkl) |
| --- | --- | --- |
| 30.07 | 100 | 2 1 2 |
| 17.74 | 53 | 1 0 -1 |
| 29.45 | 52 | 0 2 0 |
| 22.18 | 44 | 1 1 2 |
| 20.99 | 43 | 1 1 -1 |
| 15.66 | 34 | 1 1 1 |
| 30.43 | 31 | 2 0 -1 |
| 15.31 | 30 | 0 1 1 |
| 29.83 | 28 | 1 1 -2 |
| 39.82 | 22 | 3 2 0 |
| 34.35 | 21 | 0 2 -1 |
| 34.18 | 20 | 1 2 3 |

Atomic structure:
Cell lengths 7.1584, 7.1895, 8.8417 Å; angles 70.23, 80.19, 62.05 degrees
Space group P-1 (No. 2)
Asymmetric unit:
Li: 0.0294 0.1532 0.3372
Li: 0.1723 0.0170 0.9595
Li: 0.4508 0.2070 0.8059
Ni: 0.4781 0.7842 0.5894
B: 0.1156 0.5916 0.2014
B: 0.1200 0.1915 0.6113
B: 0.2468 0.6371 0.9118
B: 0.2558 0.2806 0.0827
B: 0.2680 0.6862 0.3852
O: 0.0598 0.8082 0.4377
O: 0.0967 0.2729 0.7390
O: 0.1274 0.3862 0.1949
O: 0.1408 0.7319 0.0363
O: 0.2547 0.7699 0.7645
O: 0.2871 0.5400 0.3050
O: 0.3011 0.0739 0.0957
O: 0.3008 0.1152 0.5288
O: 0.3321 0.4062 0.9489
O: 0.4291 0.7174 0.4054